This entry pairs a crystal structure of Zn6GeO6 with its calculated PXRD pattern. Radiation: Cu Kα. Structure: a cell relaxed with PBE.
Neutral-atom scattering factors, no anomalous dispersion.

Most intense lines, 2θ from 15° to 90°, in order of rising 2θ:
d = 4.050 Å, 2θ 21.9, I 33; d = 2.864 Å, 2θ 31.2, I 40; d = 2.561 Å, 2θ 35.0, I 100; d = 2.338 Å, 2θ 38.5, I 90; d = 1.653 Å, 2θ 55.6, I 30; d = 1.531 Å, 2θ 60.5, I 43

Structure:
```
data_Zn6GeO6
_chemical_formula_sum 'Zn6 Ge1 O6'
_symmetry_space_group_name_H-M 'P 1'
_symmetry_Int_Tables_number 1
_symmetry_space_group_name_Hall 'P 1'
_cell_length_a 5.7276
_cell_length_b 5.7276
_cell_length_c 5.7276
_cell_angle_alpha 90.00
_cell_angle_beta 90.00
_cell_angle_gamma 90.00
loop_
_atom_site_label
_atom_site_type_symbol
_atom_site_fract_x
_atom_site_fract_y
_atom_site_fract_z
Zn1 Zn 0.0000 0.2494 0.5000
Zn2 Zn 0.0000 0.7506 0.5000
Zn3 Zn 0.2494 0.5000 0.0000
Zn4 Zn 0.5000 0.0000 0.2494
Zn5 Zn 0.5000 0.0000 0.7506
Zn6 Zn 0.7506 0.5000 0.0000
Ge1 Ge 0.0000 0.0000 0.0000
O1 O 0.0000 0.5000 0.2525
O2 O 0.0000 0.5000 0.7475
O3 O 0.2525 0.0000 0.5000
O4 O 0.5000 0.2525 0.0000
O5 O 0.5000 0.7475 0.0000
O6 O 0.7475 0.0000 0.5000
```